Structure and computed powder diffractogram of NaCoC4O4 (a DFT-relaxed cell (PBE+U, OQMD); Cu Kα).

Crystal structure
```
40
Lattice="5.491 0.000 0.000 0.000 13.427 0.000 0.000 0.000 9.043" Properties=species:S:1:pos:R:3 pbc="T T T"
Na 0.496 1.074 2.261
Na 0.496 5.639 6.782
Na 4.995 7.788 2.261
Na 4.995 12.353 6.782
Co 1.689 8.367 6.782
Co 1.689 11.773 2.261
Co 3.802 1.654 6.782
Co 3.802 5.060 2.261
C 0.692 8.401 5.364
C 0.692 8.401 8.200
C 0.692 11.739 0.843
C 0.692 11.739 3.679
C 2.581 0.435 6.782
C 2.581 6.279 2.261
C 2.702 9.766 6.782
C 2.702 10.374 2.261
C 2.789 3.053 6.782
C 2.789 3.660 2.261
C 2.909 7.148 6.782
C 2.909 12.992 2.261
C 4.799 1.687 5.364
C 4.799 1.687 8.200
C 4.799 5.026 0.843
C 4.799 5.026 3.679
O 0.003 8.448 0.107
O 0.003 8.448 4.415
O 0.003 11.693 4.628
O 0.003 11.693 8.936
O 1.676 7.027 2.261
O 1.676 13.113 6.782
O 2.051 2.752 2.261
O 2.051 3.961 6.782
O 3.440 9.466 2.261
O 3.440 10.674 6.782
O 3.815 0.314 2.261
O 3.815 6.400 6.782
O 5.488 1.734 0.107
O 5.488 1.734 4.415
O 5.488 4.979 4.628
O 5.488 4.979 8.936
```

Peak list (6 most intense, 2θ = 10–90°, sorted by position)
- d = 5.390 Å, rel. 63, hkl 0 2 1
- d = 4.522 Å, rel. 100, hkl 0 0 2
- d = 4.431 Å, rel. 72, hkl 1 1 1
- d = 3.490 Å, rel. 71, hkl 1 0 2
- d = 3.239 Å, rel. 84, hkl 1 3 1
- d = 2.262 Å, rel. 48, hkl 0 0 4